The following is a simulated powder X-ray diffraction pattern of Pm3Pr2Dy6In. It was derived from a DFT-relaxed cell (PBE, Alexandria), using Cu Kα (λ = 1.5418 Å).
Lines closer than 0.1° are merged.

Principal peaks in the range 15 to 90 degrees two-theta, low angle first:
d (Å)  Rel. int.  h k l
2.905  100  1 3 1
2.516  51  2 0 2
1.781  18  2 0 -6
1.777  18  0 6 0
1.517  25  0 6 4
1.516  11  4 0 0
1.452  9  4 0 -4
1.153  9  4 6 0
1.126  8  3 3 -9
1.124  8  4 6 -4

Cell and atoms:
abc: 6.1564 10.6663 11.8228
angles: 90.00 100.04 90.00
Space group C2/m (No. 12)
Asymmetric unit:
Pm 0.0000 0.0000 0.0000 [2 per cell]
Pm 0.0000 0.3326 0.0000 [4 per cell]
Pr 0.0000 0.1664 0.5000 [4 per cell]
Dy 0.2442 0.5000 0.2516 [4 per cell]
Dy 0.2452 0.3367 0.7475 [8 per cell]
In 0.0000 0.5000 0.5000 [2 per cell]

=====

The following is a simulated powder X-ray diffraction pattern of Dy2Er6Tm. It was derived from a DFT-relaxed cell (PBE, Alexandria), using Cu Kα (λ = 1.5418 Å).
Lines closer than 0.1° are merged.

Principal peaks in the range 15 to 90 degrees two-theta, low angle first:
d (Å)  Rel. int.  h k l
2.861  100  3 0 1
2.478  51  3 3 0
1.752  36  6 0 0
1.496  14  3 0 3
1.493  28  6 3 1
1.430  12  6 0 2
1.137  12  6 3 3
1.136  6  9 0 1
1.109  6  3 3 4
1.107  11  9 3 0

Cell and atoms:
abc: 10.5040 10.5040 4.9629
angles: 90.00 90.00 90.00
Space group P4_2/mnm (No. 136)
Asymmetric unit:
Dy 0.1662 0.1662 0.0000 [4 per cell]
Er 0.0002 0.3334 0.5000 [8 per cell]
Er 0.1667 0.8333 0.0000 [4 per cell]
Tm 0.0000 0.0000 0.5000 [2 per cell]

=====

The following is a simulated powder X-ray diffraction pattern of BaNpRhS4. It was derived from a DFT-relaxed cell (PBE, Alexandria), using Cu Kα (λ = 1.5418 Å).
Lines closer than 0.1° are merged.

Principal peaks in the range 15 to 90 degrees two-theta, low angle first:
d (Å)  Rel. int.  h k l
4.339  100  1 1 0
3.375  70  0 1 2
3.317  64  1 1 -2
3.179  52  2 0 0
2.969  81  0 2 0
2.947  44  2 0 -2
2.730  91  1 1 2
2.640  79  2 1 -2
2.170  68  2 2 0
2.136  49  1 0 -4

Cell and atoms:
abc: 6.6269 5.9379 8.5502
angles: 90.00 106.40 90.00
Space group P2_1/m (No. 11)
Asymmetric unit:
Ba 0.2471 0.2500 0.4434 [2 per cell]
Np 0.2516 0.2500 0.9462 [2 per cell]
Rh 0.2696 0.7500 0.1583 [2 per cell]
S 0.0480 0.7500 0.9022 [2 per cell]
S 0.0545 0.7500 0.3381 [2 per cell]
S 0.4708 0.5135 0.7838 [4 per cell]

=====

The following is a simulated powder X-ray diffraction pattern of PrGaSnPt3. It was derived from a DFT-relaxed cell (PBE, Alexandria), using Cu Kα (λ = 1.5418 Å).
Lines closer than 0.1° are merged.

Principal peaks in the range 15 to 90 degrees two-theta, low angle first:
d (Å)  Rel. int.  h k l
4.230  79  0 4 0
3.936  38  1 1 1
2.722  100  0 2 2
2.700  98  2 2 0
2.075  51  1 7 1
2.023  93  2 0 2
2.013  48  0 6 2
2.004  48  2 6 0
1.825  33  2 4 2
1.269  22  2 2 4

Cell and atoms:
abc: 5.6973 16.9202 5.7494
angles: 90.00 90.00 90.00
Space group Cmcm (No. 63)
Asymmetric unit:
Pr 0.0000 0.1958 0.2500 [4 per cell]
Ga 0.0000 0.4064 0.7500 [4 per cell]
Sn 0.0000 0.1015 0.7500 [4 per cell]
Pt 0.0000 0.2588 0.7500 [4 per cell]
Pt 0.2451 0.5000 0.0000 [8 per cell]